Structure and simulated powder diffraction line list of Mg2Sc2ZnAgAu2 (a crystal structure in OQMD, relaxed with PBE; copper Kα).
No peak broadening, texture or thermal motion is included.

Cell and atoms:
a = 4.725 Å, b = 4.725 Å, c = 6.676 Å
α = 90.00°, β = 90.00°, γ = 90.00°
Positions (direct):
Mg  0.000  0.500  0.249
Mg  0.500  0.000  0.751
Sc  0.000  0.500  0.754
Sc  0.500  0.000  0.246
Zn  0.500  0.500  0.000
Ag  0.000  0.000  0.500
Au  0.000  0.000  0.000
Au  0.500  0.500  0.500

Main lines, low angle first (2θ = 15–90°):
| h k l | d/Å | 2θ/deg | Rel. int. |
| --- | --- | --- | --- |
| 1 0 1 | 3.857 | 23.1 | 206 |
| 1 1 0 | 3.340 | 26.7 | 463 |
| 2 0 0 | 2.362 | 38.1 | 1000 |
| 2 1 1 | 2.014 | 45.0 | 116 |
| 2 0 2 | 1.928 | 47.1 | 138 |
| 2 2 0 | 1.670 | 55.0 | 169 |
| 2 2 2 | 1.494 | 62.1 | 183 |
| 3 1 2 | 1.363 | 68.9 | 339 |
| 4 0 0 | 1.181 | 81.5 | 107 |
| 0 0 6 | 1.113 | 87.7 | 96 |